[1]
Theoretical powder X-ray diffraction pattern
Compound: Mo2HOs
Radiation: Cu Kα, 1.54184 Å
Structure: DFT lattice parameters and positions (PBE)

Structural model:
abc: 2.8269 2.8269 20.7589
angles: 90.00 90.00 120.00
Space group R3m (No. 160, hexagonal axes)
Unique sites:
Mo 0.0000 0.0000 0.0000 x3
Mo 0.0000 0.0000 0.2115 x3
H 0.0000 0.0000 0.6030 x3
Os 0.0000 0.0000 0.7730 x3

Largest 10 diffraction maxima, in order of rising 2θ, 2θ = 10–90°:
- 12.79°, I = 59, hkl 0 0 3
- 36.97°, I = 41, hkl 1 0 1
- 37.75°, I = 36, hkl 0 1 2
- 39.05°, I = 54, hkl 0 0 9
- 40.75°, I = 100, hkl 1 0 4
- 42.88°, I = 99, hkl 0 1 5
- 48.20°, I = 24, hkl 1 0 7
- 66.11°, I = 36, hkl 1 1 0
- 74.87°, I = 19, hkl 0 1 14
- 79.54°, I = 41, hkl 1 1 9

[2]
Theoretical powder X-ray diffraction pattern
Compound: SnMoHOs
Radiation: Cu Kα, 1.54184 Å
Structure: DFT lattice parameters and positions (PBE)

Structural model:
abc: 4.4138 4.6264 5.9657
angles: 90.00 90.00 90.00
Space group Imm2 (No. 44)
Unique sites:
Sn 0.0000 0.0000 0.0000 x2
Mo 0.0000 0.0000 0.5076 x2
H 0.0000 0.5000 0.0485 x2
Os 0.0000 0.5000 0.7658 x2

Largest 10 diffraction maxima, in order of rising 2θ, 2θ = 10–90°:
- 24.35°, I = 40, hkl 0 1 1
- 25.10°, I = 43, hkl 1 0 1
- 38.93°, I = 30, hkl 0 2 0
- 40.89°, I = 26, hkl 2 0 0
- 41.42°, I = 100, hkl 1 1 2
- 46.89°, I = 17, hkl 1 2 1
- 48.16°, I = 13, hkl 2 1 1
- 57.74°, I = 19, hkl 2 2 0
- 72.21°, I = 20, hkl 1 3 2
- 74.83°, I = 18, hkl 3 1 2

[3]
Theoretical powder X-ray diffraction pattern
Compound: PaMoH6
Radiation: Cu Kα, 1.54184 Å
Structure: DFT lattice parameters and positions (PBE)

Structural model:
abc: 5.7916 6.4287 4.1494
angles: 90.00 116.20 90.00
Space group C2/m (No. 12)
Unique sites:
Pa 0.0000 0.0000 0.0000 x2
Mo 0.0000 0.5000 0.0000 x2
H 0.0970 0.2994 0.7776 x8
H 0.1815 0.0000 0.6094 x4

Largest 10 diffraction maxima, in order of rising 2θ, 2θ = 10–90°:
- 21.99°, I = 36, hkl 1 1 0
- 23.90°, I = 100, hkl 0 0 1
- 26.40°, I = 23, hkl 1 1 -1
- 27.75°, I = 69, hkl 0 2 0
- 32.15°, I = 46, hkl 2 0 -1
- 34.52°, I = 40, hkl 2 0 0
- 36.95°, I = 65, hkl 0 2 1
- 42.98°, I = 44, hkl 2 2 -1
- 44.86°, I = 38, hkl 2 2 0
- 45.76°, I = 24, hkl 2 0 -2

[4]
Theoretical powder X-ray diffraction pattern
Compound: PmMo2H7
Radiation: Cu Kα, 1.54184 Å
Structure: DFT lattice parameters and positions (PBE)

Structural model:
abc: 5.5001 9.0739 3.5523
angles: 90.00 90.00 90.00
Space group Cmmm (No. 65)
Unique sites:
Pm 0.0000 0.0000 0.0000 x2
Mo 0.0000 0.3007 0.5000 x4
H 0.0000 0.3640 0.0000 x4
H 0.0000 0.5000 0.5000 x2
H 0.1788 0.1324 0.5000 x8

Largest 10 diffraction maxima, in order of rising 2θ, 2θ = 10–90°:
- 18.87°, I = 27, hkl 1 1 0
- 31.56°, I = 96, hkl 1 1 1
- 32.00°, I = 100, hkl 0 2 1
- 32.56°, I = 61, hkl 2 0 0
- 33.82°, I = 88, hkl 1 3 0
- 46.30°, I = 70, hkl 2 2 1
- 58.89°, I = 21, hkl 3 3 0
- 59.63°, I = 42, hkl 1 5 1
- 63.00°, I = 28, hkl 1 3 2
- 78.97°, I = 19, hkl 3 5 1

Q: Number 4 is which compound?
A: PmMo2H7